1.
Structure and simulated X-ray diffraction stick pattern of Cs2GeBr2Cl4 (a crystal structure in Alexandria, relaxed with GGA-PBE; Cu Kα (λ = 1.5418 Å)).

Atomic structure:
```
data_Cs2GeBr2Cl4
_chemical_formula_sum 'Cs2 Ge1 Br2 Cl4'
_cell_length_a 7.558
_cell_length_b 7.558
_cell_length_c 7.558
_cell_angle_alpha 118.66
_cell_angle_beta 118.66
_cell_angle_gamma 92.34
_space_group_name_H-M_alt 'P 1'
_space_group_IT_number 1
loop_
_space_group_symop_operation_xyz
'x,y,z'
loop_
_atom_site_label
_atom_site_type_symbol
_atom_site_fract_x
_atom_site_fract_y
_atom_site_fract_z
Cs1 Cs 0.250 0.750 0.500
Cs2 Cs 0.750 0.250 0.500
Ge1 Ge 0.000 0.000 0.000
Br1 Br 0.240 0.240 0.000
Br2 Br 0.760 0.760 0.000
Cl1 Cl 0.215 0.215 0.430
Cl2 Cl 0.215 0.785 0.000
Cl3 Cl 0.785 0.215 0.000
Cl4 Cl 0.785 0.785 0.570
```

Top 10 peaks for 5° ≤ 2θ ≤ 70°, by angle:
2θ = 14.27°, intensity 33
2θ = 23.07°, intensity 50
2θ = 23.56°, intensity 23
2θ = 28.76°, intensity 100
2θ = 32.85°, intensity 58
2θ = 34.26°, intensity 27
2θ = 41.71°, intensity 21
2θ = 47.15°, intensity 19
2θ = 48.20°, intensity 37
2θ = 56.17°, intensity 23

2.
Structure and simulated X-ray diffraction stick pattern of Na2Rh2O5 (a crystal structure in Alexandria, relaxed with GGA-PBE; Cu Kα (λ = 1.5418 Å)).

Atomic structure:
```
data_Na2Rh2O5
_chemical_formula_sum 'Na2 Rh2 O5'
_cell_length_a 6.693
_cell_length_b 6.275
_cell_length_c 4.550
_cell_angle_alpha 74.47
_cell_angle_beta 64.61
_cell_angle_gamma 40.92
_space_group_name_H-M_alt 'P 1'
_space_group_IT_number 1
loop_
_space_group_symop_operation_xyz
'x,y,z'
loop_
_atom_site_label
_atom_site_type_symbol
_atom_site_fract_x
_atom_site_fract_y
_atom_site_fract_z
Na1 Na 0.207 0.207 0.793
Na2 Na 0.793 0.793 0.207
Rh1 Rh 0.000 0.000 0.500
Rh2 Rh 0.500 0.500 0.000
O1 O 0.000 0.000 0.000
O2 O 0.199 0.563 0.437
O3 O 0.437 0.801 0.199
O4 O 0.563 0.199 0.801
O5 O 0.801 0.437 0.563
```

Top 10 peaks for 5° ≤ 2θ ≤ 70°, by angle:
2θ = 15.73°, intensity 100
2θ = 24.64°, intensity 34
2θ = 29.37°, intensity 67
2θ = 31.77°, intensity 16
2θ = 36.19°, intensity 36
2θ = 41.11°, intensity 25
2θ = 44.27°, intensity 25
2θ = 46.00°, intensity 18
2θ = 52.87°, intensity 36
2θ = 63.71°, intensity 14

3.
Structure and simulated X-ray diffraction stick pattern of Pm2Th2C3 (a crystal structure in Alexandria, relaxed with GGA-PBE; Cu Kα (λ = 1.5418 Å)).

Atomic structure:
```
data_Pm2Th2C3
_chemical_formula_sum 'Pm4 Th4 C6'
_cell_length_a 12.570
_cell_length_b 3.755
_cell_length_c 6.490
_cell_angle_alpha 90.00
_cell_angle_beta 100.86
_cell_angle_gamma 90.00
_space_group_name_H-M_alt 'P 1'
_space_group_IT_number 1
loop_
_space_group_symop_operation_xyz
'x,y,z'
loop_
_atom_site_label
_atom_site_type_symbol
_atom_site_fract_x
_atom_site_fract_y
_atom_site_fract_z
Pm1 Pm 0.136 0.000 0.361
Pm2 Pm 0.364 0.500 0.639
Pm3 Pm 0.636 0.500 0.361
Pm4 Pm 0.864 0.000 0.639
Th1 Th 0.125 0.500 0.882
Th2 Th 0.375 0.000 0.118
Th3 Th 0.625 0.000 0.882
Th4 Th 0.875 0.500 0.118
C1 C 0.000 0.000 0.000
C2 C 0.245 0.500 0.233
C3 C 0.255 0.000 0.767
C4 C 0.500 0.500 0.000
C5 C 0.745 0.000 0.233
C6 C 0.755 0.500 0.767
```

Top 10 peaks for 5° ≤ 2θ ≤ 70°, by angle:
2θ = 28.97°, intensity 98
2θ = 29.20°, intensity 100
2θ = 33.56°, intensity 81
2θ = 34.01°, intensity 40
2θ = 48.48°, intensity 44
2θ = 48.58°, intensity 28
2θ = 57.08°, intensity 28
2θ = 57.48°, intensity 30
2θ = 57.91°, intensity 24
2θ = 60.55°, intensity 15

4.
Structure and simulated X-ray diffraction stick pattern of Ca3Au5 (a crystal structure in Alexandria, relaxed with GGA-PBE; Cu Kα (λ = 1.5418 Å)).

Atomic structure:
```
data_Ca3Au5
_chemical_formula_sum 'Ca6 Au10'
_cell_length_a 9.020
_cell_length_b 9.020
_cell_length_c 5.358
_cell_angle_alpha 90.00
_cell_angle_beta 90.00
_cell_angle_gamma 120.00
_space_group_name_H-M_alt 'P 1'
_space_group_IT_number 1
loop_
_space_group_symop_operation_xyz
'x,y,z'
loop_
_atom_site_label
_atom_site_type_symbol
_atom_site_fract_x
_atom_site_fract_y
_atom_site_fract_z
Ca1 Ca 0.000 0.375 0.250
Ca2 Ca 0.000 0.625 0.750
Ca3 Ca 0.375 0.000 0.250
Ca4 Ca 0.375 0.375 0.750
Ca5 Ca 0.625 0.000 0.750
Ca6 Ca 0.625 0.625 0.250
Au1 Au 0.000 0.195 0.750
Au2 Au 0.000 0.805 0.250
Au3 Au 0.195 0.000 0.750
Au4 Au 0.195 0.195 0.250
Au5 Au 0.333 0.667 0.000
Au6 Au 0.333 0.667 0.500
Au7 Au 0.667 0.333 0.000
Au8 Au 0.667 0.333 0.500
Au9 Au 0.805 0.000 0.250
Au10 Au 0.805 0.805 0.750
```

Top 10 peaks for 5° ≤ 2θ ≤ 70°, by angle:
2θ = 19.68°, intensity 48
2θ = 22.77°, intensity 23
2θ = 30.27°, intensity 71
2θ = 34.69°, intensity 100
2θ = 35.42°, intensity 60
2θ = 39.11°, intensity 39
2θ = 43.54°, intensity 37
2θ = 53.09°, intensity 36
2θ = 53.78°, intensity 30
2θ = 69.67°, intensity 25

5.
Structure and simulated X-ray diffraction stick pattern of Nd5S8 (a crystal structure in Alexandria, relaxed with GGA-PBE; Cu Kα (λ = 1.5418 Å)).

Atomic structure:
```
data_Nd5S8
_chemical_formula_sum 'Nd5 S8'
_cell_length_a 8.384
_cell_length_b 8.384
_cell_length_c 8.384
_cell_angle_alpha 60.00
_cell_angle_beta 60.00
_cell_angle_gamma 60.00
_space_group_name_H-M_alt 'P 1'
_space_group_IT_number 1
loop_
_space_group_symop_operation_xyz
'x,y,z'
loop_
_atom_site_label
_atom_site_type_symbol
_atom_site_fract_x
_atom_site_fract_y
_atom_site_fract_z
Nd1 Nd 0.000 0.000 0.000
Nd2 Nd 0.379 0.379 0.379
Nd3 Nd 0.379 0.379 0.864
Nd4 Nd 0.379 0.864 0.379
Nd5 Nd 0.864 0.379 0.379
S1 S 0.133 0.133 0.133
S2 S 0.133 0.133 0.600
S3 S 0.133 0.600 0.133
S4 S 0.161 0.613 0.613
S5 S 0.600 0.133 0.133
S6 S 0.613 0.161 0.613
S7 S 0.613 0.613 0.161
S8 S 0.613 0.613 0.613
```

Top 10 peaks for 5° ≤ 2θ ≤ 70°, by angle:
2θ = 12.93°, intensity 52
2θ = 14.94°, intensity 17
2θ = 24.91°, intensity 100
2θ = 26.03°, intensity 22
2θ = 30.15°, intensity 48
2θ = 39.49°, intensity 50
2θ = 43.16°, intensity 69
2θ = 50.48°, intensity 15
2θ = 59.93°, intensity 24
2θ = 68.54°, intensity 15

6.
Structure and simulated X-ray diffraction stick pattern of Sm2Tm5ThSc (a crystal structure in Alexandria, relaxed with GGA-PBE; Cu Kα (λ = 1.5418 Å)).

Atomic structure:
```
data_Sm2Tm5ThSc
_chemical_formula_sum 'Sm4 Tm10 Th2 Sc2'
_cell_length_a 11.513
_cell_length_b 11.513
_cell_length_c 9.121
_cell_angle_alpha 90.00
_cell_angle_beta 90.00
_cell_angle_gamma 152.07
_space_group_name_H-M_alt 'P 1'
_space_group_IT_number 1
loop_
_space_group_symop_operation_xyz
'x,y,z'
loop_
_atom_site_label
_atom_site_type_symbol
_atom_site_fract_x
_atom_site_fract_y
_atom_site_fract_z
Sm1 Sm 0.116 0.884 0.500
Sm2 Sm 0.139 0.861 0.925
Sm3 Sm 0.861 0.139 0.425
Sm4 Sm 0.884 0.116 0.000
Tm1 Tm 0.002 0.998 0.221
Tm2 Tm 0.267 0.733 0.553
Tm3 Tm 0.299 0.701 0.931
Tm4 Tm 0.388 0.612 0.255
Tm5 Tm 0.478 0.522 0.965
Tm6 Tm 0.522 0.478 0.465
Tm7 Tm 0.612 0.388 0.755
Tm8 Tm 0.701 0.299 0.431
Tm9 Tm 0.733 0.267 0.053
Tm10 Tm 0.998 0.002 0.721
Th1 Th 0.398 0.602 0.660
Th2 Th 0.602 0.398 0.160
Sc1 Sc 0.213 0.787 0.229
Sc2 Sc 0.787 0.213 0.729
```

Top 10 peaks for 5° ≤ 2θ ≤ 70°, by angle:
2θ = 21.04°, intensity 8
2θ = 25.84°, intensity 10
2θ = 28.00°, intensity 29
2θ = 30.47°, intensity 10
2θ = 32.04°, intensity 10
2θ = 32.22°, intensity 44
2θ = 32.35°, intensity 100
2θ = 33.84°, intensity 54
2θ = 57.53°, intensity 20
2θ = 58.49°, intensity 11

7.
Structure and simulated X-ray diffraction stick pattern of SrPuSbPd (a crystal structure in Alexandria, relaxed with GGA-PBE; Cu Kα (λ = 1.5418 Å)).

Atomic structure:
```
data_SrPuSbPd
_chemical_formula_sum 'Sr4 Pu4 Sb4 Pd4'
_cell_length_a 7.564
_cell_length_b 7.564
_cell_length_c 7.564
_cell_angle_alpha 90.00
_cell_angle_beta 90.00
_cell_angle_gamma 90.00
_space_group_name_H-M_alt 'P 1'
_space_group_IT_number 1
loop_
_space_group_symop_operation_xyz
'x,y,z'
loop_
_atom_site_label
_atom_site_type_symbol
_atom_site_fract_x
_atom_site_fract_y
_atom_site_fract_z
Sr1 Sr 0.000 0.000 0.000
Sr2 Sr 0.000 0.500 0.500
Sr3 Sr 0.500 0.000 0.500
Sr4 Sr 0.500 0.500 0.000
Pu1 Pu 0.000 0.000 0.500
Pu2 Pu 0.000 0.500 0.000
Pu3 Pu 0.500 0.000 0.000
Pu4 Pu 0.500 0.500 0.500
Sb1 Sb 0.250 0.250 0.750
Sb2 Sb 0.250 0.750 0.250
Sb3 Sb 0.750 0.250 0.250
Sb4 Sb 0.750 0.750 0.750
Pd1 Pd 0.250 0.250 0.250
Pd2 Pd 0.250 0.750 0.750
Pd3 Pd 0.750 0.250 0.750
Pd4 Pd 0.750 0.750 0.250
```

Top 10 peaks for 5° ≤ 2θ ≤ 70°, by angle:
2θ = 20.33°, intensity 15
2θ = 23.52°, intensity 3
2θ = 33.51°, intensity 100
2θ = 39.51°, intensity 9
2θ = 41.35°, intensity 1
2θ = 48.12°, intensity 18
2θ = 52.75°, intensity 4
2θ = 54.23°, intensity 2
2θ = 59.91°, intensity 38
2θ = 63.95°, intensity 3

8.
Structure and simulated X-ray diffraction stick pattern of CsTcH3F (a crystal structure in Alexandria, relaxed with GGA-PBE; Cu Kα (λ = 1.5418 Å)).

Atomic structure:
```
data_CsTcH3F
_chemical_formula_sum 'Cs1 Tc1 H3 F1'
_cell_length_a 3.444
_cell_length_b 3.458
_cell_length_c 7.686
_cell_angle_alpha 90.33
_cell_angle_beta 90.13
_cell_angle_gamma 119.38
_space_group_name_H-M_alt 'P 1'
_space_group_IT_number 1
loop_
_space_group_symop_operation_xyz
'x,y,z'
loop_
_atom_site_label
_atom_site_type_symbol
_atom_site_fract_x
_atom_site_fract_y
_atom_site_fract_z
Cs1 Cs 0.000 0.000 0.000
Tc1 Tc 0.337 0.665 0.472
H1 H 0.339 0.669 0.254
H2 H 0.632 0.285 0.473
H3 H 0.966 0.946 0.469
F1 F 0.331 0.657 0.755
```

Top 10 peaks for 5° ≤ 2θ ≤ 70°, by angle:
2θ = 23.14°, intensity 100
2θ = 29.65°, intensity 19
2θ = 29.99°, intensity 20
2θ = 31.81°, intensity 39
2θ = 31.97°, intensity 78
2θ = 32.08°, intensity 40
2θ = 32.22°, intensity 75
2θ = 38.15°, intensity 20
2θ = 46.47°, intensity 19
2θ = 46.74°, intensity 55

9.
Structure and simulated X-ray diffraction stick pattern of PrHfNO2 (a crystal structure in Alexandria, relaxed with GGA-PBE; Cu Kα (λ = 1.5418 Å)).

Atomic structure:
```
data_PrHfNO2
_chemical_formula_sum 'Pr2 Hf2 N2 O4'
_cell_length_a 5.863
_cell_length_b 5.863
_cell_length_c 5.863
_cell_angle_alpha 122.51
_cell_angle_beta 122.51
_cell_angle_gamma 85.71
_space_group_name_H-M_alt 'P 1'
_space_group_IT_number 1
loop_
_space_group_symop_operation_xyz
'x,y,z'
loop_
_atom_site_label
_atom_site_type_symbol
_atom_site_fract_x
_atom_site_fract_y
_atom_site_fract_z
Pr1 Pr 0.250 0.750 0.500
Pr2 Pr 0.750 0.250 0.500
Hf1 Hf 0.000 0.000 0.000
Hf2 Hf 0.500 0.500 0.000
N1 N 0.250 0.250 0.000
N2 N 0.750 0.750 0.000
O1 O 0.170 0.670 0.839
O2 O 0.330 0.170 0.500
O3 O 0.670 0.830 0.500
O4 O 0.830 0.330 0.161
```

Top 10 peaks for 5° ≤ 2θ ≤ 70°, by angle:
2θ = 20.67°, intensity 2
2θ = 30.58°, intensity 100
2θ = 31.73°, intensity 51
2θ = 42.05°, intensity 16
2θ = 45.49°, intensity 22
2θ = 53.62°, intensity 24
2θ = 55.81°, intensity 43
2θ = 63.67°, intensity 16
2θ = 66.30°, intensity 6
2θ = 69.75°, intensity 10

10.
Structure and simulated X-ray diffraction stick pattern of Er7NiS5 (a crystal structure in Alexandria, relaxed with GGA-PBE; Cu Kα (λ = 1.5418 Å)).

Atomic structure:
```
data_Er7NiS5
_chemical_formula_sum 'Er14 Ni2 S10'
_cell_length_a 6.639
_cell_length_b 6.639
_cell_length_c 23.205
_cell_angle_alpha 90.00
_cell_angle_beta 90.00
_cell_angle_gamma 146.79
_space_group_name_H-M_alt 'P 1'
_space_group_IT_number 1
loop_
_space_group_symop_operation_xyz
'x,y,z'
loop_
_atom_site_label
_atom_site_type_symbol
_atom_site_fract_x
_atom_site_fract_y
_atom_site_fract_z
Er1 Er 0.042 0.958 0.750
Er2 Er 0.138 0.862 0.037
Er3 Er 0.138 0.862 0.463
Er4 Er 0.304 0.696 0.679
Er5 Er 0.304 0.696 0.821
Er6 Er 0.411 0.589 0.112
Er7 Er 0.411 0.589 0.388
Er8 Er 0.589 0.411 0.612
Er9 Er 0.589 0.411 0.888
Er10 Er 0.696 0.304 0.179
Er11 Er 0.696 0.304 0.321
Er12 Er 0.862 0.138 0.537
Er13 Er 0.862 0.138 0.963
Er14 Er 0.958 0.042 0.250
Ni1 Ni 0.303 0.697 0.250
Ni2 Ni 0.697 0.303 0.750
S1 S 0.052 0.948 0.142
S2 S 0.052 0.948 0.358
S3 S 0.223 0.777 0.571
S4 S 0.223 0.777 0.929
S5 S 0.500 0.500 0.000
S6 S 0.500 0.500 0.500
S7 S 0.777 0.223 0.071
S8 S 0.777 0.223 0.429
S9 S 0.948 0.052 0.642
S10 S 0.948 0.052 0.858
```

Top 10 peaks for 5° ≤ 2θ ≤ 70°, by angle:
2θ = 27.10°, intensity 28
2θ = 28.32°, intensity 32
2θ = 28.98°, intensity 53
2θ = 30.41°, intensity 100
2θ = 32.59°, intensity 80
2θ = 33.75°, intensity 59
2θ = 33.97°, intensity 28
2θ = 46.42°, intensity 26
2θ = 47.95°, intensity 30
2θ = 57.82°, intensity 43

11.
Structure and simulated X-ray diffraction stick pattern of RbUBS4 (a crystal structure in Alexandria, relaxed with GGA-PBE; Cu Kα (λ = 1.5418 Å)).

Atomic structure:
```
data_RbUBS4
_chemical_formula_sum 'Rb2 U2 B2 S8'
_cell_length_a 5.988
_cell_length_b 6.350
_cell_length_c 9.135
_cell_angle_alpha 90.00
_cell_angle_beta 108.45
_cell_angle_gamma 90.00
_space_group_name_H-M_alt 'P 1'
_space_group_IT_number 1
loop_
_space_group_symop_operation_xyz
'x,y,z'
loop_
_atom_site_label
_atom_site_type_symbol
_atom_site_fract_x
_atom_site_fract_y
_atom_site_fract_z
Rb1 Rb 0.213 0.250 0.436
Rb2 Rb 0.787 0.750 0.564
U1 U 0.314 0.750 0.051
U2 U 0.686 0.250 0.949
B1 B 0.132 0.250 0.831
B2 B 0.868 0.750 0.169
S1 S 0.163 0.250 0.051
S2 S 0.188 0.750 0.305
S3 S 0.300 0.006 0.794
S4 S 0.300 0.494 0.794
S5 S 0.700 0.506 0.206
S6 S 0.700 0.994 0.206
S7 S 0.812 0.250 0.695
S8 S 0.837 0.750 0.949
```

Top 10 peaks for 5° ≤ 2θ ≤ 70°, by angle:
2θ = 10.21°, intensity 100
2θ = 21.06°, intensity 95
2θ = 25.50°, intensity 34
2θ = 28.10°, intensity 32
2θ = 31.50°, intensity 25
2θ = 33.15°, intensity 37
2θ = 35.04°, intensity 30
2θ = 35.50°, intensity 25
2θ = 42.90°, intensity 26
2θ = 45.69°, intensity 24

12.
Structure and simulated X-ray diffraction stick pattern of NaRh2S3 (a crystal structure in Alexandria, relaxed with GGA-PBE; Cu Kα (λ = 1.5418 Å)).

Atomic structure:
```
data_NaRh2S3
_chemical_formula_sum 'Na2 Rh4 S6'
_cell_length_a 7.022
_cell_length_b 7.022
_cell_length_c 5.475
_cell_angle_alpha 90.00
_cell_angle_beta 90.00
_cell_angle_gamma 118.10
_space_group_name_H-M_alt 'P 1'
_space_group_IT_number 1
loop_
_space_group_symop_operation_xyz
'x,y,z'
loop_
_atom_site_label
_atom_site_type_symbol
_atom_site_fract_x
_atom_site_fract_y
_atom_site_fract_z
Na1 Na 0.200 0.800 0.750
Na2 Na 0.800 0.200 0.250
Rh1 Rh 0.302 0.302 0.000
Rh2 Rh 0.302 0.302 0.500
Rh3 Rh 0.698 0.698 0.000
Rh4 Rh 0.698 0.698 0.500
S1 S 0.020 0.276 0.750
S2 S 0.276 0.020 0.250
S3 S 0.398 0.602 0.250
S4 S 0.602 0.398 0.750
S5 S 0.724 0.980 0.750
S6 S 0.980 0.724 0.250
```

Top 10 peaks for 5° ≤ 2θ ≤ 70°, by angle:
2θ = 14.30°, intensity 19
2θ = 14.71°, intensity 100
2θ = 25.38°, intensity 16
2θ = 28.82°, intensity 31
2θ = 36.04°, intensity 27
2θ = 41.39°, intensity 16
2θ = 43.84°, intensity 14
2θ = 44.15°, intensity 15
2θ = 44.74°, intensity 25
2θ = 51.09°, intensity 22

13.
Structure and simulated X-ray diffraction stick pattern of Sm2P3Pt6 (a crystal structure in Alexandria, relaxed with GGA-PBE; Cu Kα (λ = 1.5418 Å)).

Atomic structure:
```
data_Sm2P3Pt6
_chemical_formula_sum 'Sm4 P6 Pt12'
_cell_length_a 23.040
_cell_length_b 23.040
_cell_length_c 23.040
_cell_angle_alpha 169.68
_cell_angle_beta 169.68
_cell_angle_gamma 14.61
_space_group_name_H-M_alt 'P 1'
_space_group_IT_number 1
loop_
_space_group_symop_operation_xyz
'x,y,z'
loop_
_atom_site_label
_atom_site_type_symbol
_atom_site_fract_x
_atom_site_fract_y
_atom_site_fract_z
Sm1 Sm 0.075 0.325 0.750
Sm2 Sm 0.325 0.075 0.250
Sm3 Sm 0.675 0.925 0.750
Sm4 Sm 0.925 0.675 0.250
P1 P 0.200 0.450 0.750
P2 P 0.375 0.625 0.750
P3 P 0.450 0.200 0.250
P4 P 0.550 0.800 0.750
P5 P 0.625 0.375 0.250
P6 P 0.800 0.550 0.250
Pt1 Pt 0.025 0.775 0.250
Pt2 Pt 0.149 0.399 0.750
Pt3 Pt 0.225 0.975 0.250
Pt4 Pt 0.273 0.523 0.750
Pt5 Pt 0.399 0.149 0.250
Pt6 Pt 0.477 0.727 0.750
Pt7 Pt 0.523 0.273 0.250
Pt8 Pt 0.601 0.851 0.750
Pt9 Pt 0.727 0.477 0.250
Pt10 Pt 0.775 0.025 0.750
Pt11 Pt 0.851 0.601 0.250
Pt12 Pt 0.975 0.225 0.750
```

Top 10 peaks for 5° ≤ 2θ ≤ 70°, by angle:
2θ = 7.74°, intensity 34
2θ = 30.77°, intensity 21
2θ = 31.31°, intensity 16
2θ = 32.75°, intensity 50
2θ = 33.43°, intensity 17
2θ = 36.43°, intensity 100
2θ = 36.61°, intensity 16
2θ = 43.69°, intensity 63
2θ = 63.51°, intensity 21
2θ = 69.55°, intensity 17